Structure and simulated X-ray powder pattern of LiMg14Sn (a cell relaxed with PBE; Cu Ka).
Kinematic intensities with the Lorentz-polarization factor, no thermal factor.

Top 8 peaks for 10 to 80 degrees two-theta, by intensity:
| d_spacing | 2θ (°) | I (rel.) | h k l |
| --- | --- | --- | --- |
| 2.426 | 37.05 | 100 | 2 2 2 |
| 4.855 | 18.27 | 52 | 1 1 1 |
| 2.434 | 36.94 | 50 | 2 0 4 |
| 2.614 | 34.31 | 41 | 4 0 0 |
| 5.482 | 16.17 | 34 | 0 1 1 |
| 3.783 | 23.52 | 29 | 2 1 1 |
| 1.892 | 48.09 | 25 | 4 0 4 |
| 2.740 | 32.69 | 25 | 0 2 2 |

Cell and atoms:
Unit cell a=10.4542 b=6.3190 c=10.9989 alpha=90.00 beta=90.00 gamma=90.00
Space group Amm2 (No. 38)
One atom of each set of equivalent atoms:
Li (0.0000, 0.0000, 0.0000)
Mg (0.0000, 0.2495, 0.2498)
Mg (0.2504, 0.0000, 0.1666)
Mg (0.2503, 0.0000, 0.6669)
Mg (0.2502, 0.2503, 0.4167)
Mg (0.5000, 0.0000, 0.9999)
Mg (0.5000, 0.0000, 0.5000)
Mg (0.5000, 0.2502, 0.2500)
Sn (0.0000, 0.0000, 0.4998)

***

Structure and simulated X-ray powder pattern of LiMg14Sn (a cell relaxed with PBE; Cu Ka).
Kinematic intensities with the Lorentz-polarization factor, no thermal factor.

Top 8 peaks for 10 to 80 degrees two-theta, by intensity:
| d_spacing | 2θ (°) | I (rel.) | h k l |
| --- | --- | --- | --- |
| 2.426 | 37.06 | 100 | 2 0 2 |
| 4.852 | 18.29 | 43 | 1 0 1 |
| 2.625 | 34.16 | 28 | 0 0 4 |
| 2.735 | 32.74 | 25 | 2 0 0 |
| 1.474 | 63.07 | 24 | 2 0 6 |
| 1.353 | 69.46 | 20 | 2 2 4 |
| 1.579 | 58.44 | 17 | 2 2 0 |
| 1.894 | 48.04 | 17 | 2 0 4 |

Cell and atoms:
Unit cell a=6.3170 b=6.3170 c=10.4988 alpha=90.00 beta=90.00 gamma=120.00
Space group P-6m2 (No. 187)
One atom of each set of equivalent atoms:
Li (0.0000, 0.0000, 0.0000)
Mg (0.0009, 0.5004, 0.0000)
Mg (0.1666, 0.3331, 0.2484)
Mg (0.5004, 0.0008, 0.5000)
Mg (0.6667, 0.3333, 0.2491)
Sn (0.0000, 0.0000, 0.5000)

***

Structure and simulated X-ray powder pattern of SrLiMg6 (a cell relaxed with PBE; Cu Ka).
Kinematic intensities with the Lorentz-polarization factor, no thermal factor.

Top 8 peaks for 10 to 80 degrees two-theta, by intensity:
| d_spacing | 2θ (°) | I (rel.) | h k l |
| --- | --- | --- | --- |
| 2.562 | 35.03 | 100 | 1 2 2 |
| 2.583 | 34.74 | 59 | 1 0 4 |
| 3.925 | 22.65 | 44 | 1 1 1 |
| 2.645 | 33.90 | 38 | 2 0 0 |
| 2.928 | 30.53 | 37 | 0 2 2 |
| 5.289 | 16.76 | 24 | 1 0 0 |
| 1.963 | 46.26 | 23 | 2 2 2 |
| 1.702 | 53.85 | 22 | 0 2 6 |

Cell and atoms:
Unit cell a=5.2890 b=6.7393 c=11.8378 alpha=90.00 beta=90.00 gamma=90.00
Space group Amm2 (No. 38)
One atom of each set of equivalent atoms:
Sr (0.0000, 0.0000, 0.0000)
Li (0.5000, 0.0000, 0.1736)
Mg (0.0000, 0.0000, 0.4894)
Mg (0.0000, 0.2418, 0.2504)
Mg (0.5000, 0.0000, 0.6599)
Mg (0.5000, 0.2335, 0.4034)

***

Structure and simulated X-ray powder pattern of SrLiMg6 (a cell relaxed with PBE; Cu Ka).
Kinematic intensities with the Lorentz-polarization factor, no thermal factor.

Top 8 peaks for 10 to 80 degrees two-theta, by intensity:
| d_spacing | 2θ (°) | I (rel.) | h k l |
| --- | --- | --- | --- |
| 2.540 | 35.34 | 100 | 1 2 2 |
| 2.606 | 34.41 | 62 | 1 0 4 |
| 3.915 | 22.71 | 56 | 1 1 1 |
| 5.779 | 15.33 | 53 | 0 1 1 |
| 2.661 | 33.68 | 40 | 2 0 0 |
| 2.890 | 30.95 | 31 | 0 2 2 |
| 2.872 | 31.14 | 22 | 1 1 3 |
| 1.436 | 64.93 | 21 | 2 2 6 |

Cell and atoms:
Unit cell a=5.3226 b=6.6019 c=11.9558 alpha=90.00 beta=90.00 gamma=90.00
Space group Amm2 (No. 38)
One atom of each set of equivalent atoms:
Sr (0.0000, 0.0000, 0.0000)
Li (0.0000, 0.0000, 0.4927)
Mg (0.0000, 0.2439, 0.2508)
Mg (0.5000, 0.0000, 0.1710)
Mg (0.5000, 0.0000, 0.6574)
Mg (0.5000, 0.2358, 0.4055)

***

Structure and simulated X-ray powder pattern of LiMg14Ti (a cell relaxed with PBE; Cu Ka).
Kinematic intensities with the Lorentz-polarization factor, no thermal factor.

Top 8 peaks for 10 to 80 degrees two-theta, by intensity:
| d_spacing | 2θ (°) | I (rel.) | h k l |
| --- | --- | --- | --- |
| 2.419 | 37.17 | 100 | 2 0 4 |
| 2.534 | 35.42 | 25 | 4 0 0 |
| 2.753 | 32.53 | 24 | 0 2 2 |
| 1.440 | 64.75 | 18 | 6 0 4 |
| 1.864 | 48.85 | 15 | 4 2 2 |
| 1.346 | 69.90 | 12 | 4 2 6 |
| 1.588 | 58.08 | 11 | 0 2 6 |
| 1.329 | 70.91 | 9 | 2 4 4 |

Cell and atoms:
Unit cell a=10.1364 b=6.3649 c=10.9959 alpha=90.00 beta=90.00 gamma=90.00
Space group Amm2 (No. 38)
One atom of each set of equivalent atoms:
Li (0.0000, 0.0000, 0.0000)
Mg (0.0000, 0.2460, 0.7534)
Mg (0.2447, 0.2465, 0.4207)
Mg (0.2468, 0.0000, 0.1674)
Mg (0.2465, 0.0000, 0.6647)
Mg (0.5000, 0.0000, 0.0013)
Mg (0.5000, 0.0000, 0.5016)
Mg (0.5000, 0.2505, 0.2519)
Ti (0.0000, 0.0000, 0.5017)

***

Structure and simulated X-ray powder pattern of LiMg6Ti (a cell relaxed with PBE; Cu Ka).
Kinematic intensities with the Lorentz-polarization factor, no thermal factor.

Top 8 peaks for 10 to 80 degrees two-theta, by intensity:
| d_spacing | 2θ (°) | I (rel.) | h k l |
| --- | --- | --- | --- |
| 2.411 | 37.30 | 100 | 1 2 2 |
| 2.382 | 37.76 | 48 | 1 0 4 |
| 2.496 | 35.98 | 37 | 2 0 0 |
| 5.507 | 16.09 | 26 | 0 1 1 |
| 2.753 | 32.52 | 24 | 0 2 2 |
| 1.331 | 70.80 | 18 | 2 2 6 |
| 3.698 | 24.06 | 17 | 1 1 1 |
| 1.424 | 65.55 | 17 | 3 2 2 |

Cell and atoms:
Unit cell a=4.9919 b=6.3925 c=10.8437 alpha=90.00 beta=90.00 gamma=90.00
Space group Amm2 (No. 38)
One atom of each set of equivalent atoms:
Li (0.0000, 0.0000, 0.0000)
Mg (0.0000, 0.2477, 0.2482)
Mg (0.5000, 0.0000, 0.3365)
Mg (0.5000, 0.0000, 0.8340)
Mg (0.5000, 0.2464, 0.5787)
Ti (0.0000, 0.0000, 0.4996)

***

Structure and simulated X-ray powder pattern of LiMg6Ti (a cell relaxed with PBE; Cu Ka).
Kinematic intensities with the Lorentz-polarization factor, no thermal factor.

Top 8 peaks for 10 to 80 degrees two-theta, by intensity:
| d_spacing | 2θ (°) | I (rel.) | h k l |
| --- | --- | --- | --- |
| 2.392 | 37.61 | 100 | 1 2 2 |
| 2.402 | 37.44 | 48 | 1 0 4 |
| 2.513 | 35.73 | 38 | 2 0 0 |
| 2.719 | 32.94 | 25 | 0 2 2 |
| 1.335 | 70.54 | 18 | 2 2 6 |
| 1.426 | 65.43 | 18 | 3 2 2 |
| 5.457 | 16.24 | 17 | 0 0 2 |
| 1.576 | 58.57 | 16 | 0 2 6 |

Cell and atoms:
Unit cell a=5.0263 b=6.2674 c=10.9395 alpha=90.00 beta=90.00 gamma=90.00
Space group Amm2 (No. 38)
One atom of each set of equivalent atoms:
Li (0.0000, 0.0000, 0.0000)
Mg (0.0000, 0.0000, 0.4980)
Mg (0.0000, 0.2417, 0.2443)
Mg (0.5000, 0.0000, 0.6661)
Mg (0.5000, 0.2439, 0.9142)
Ti (0.5000, 0.0000, 0.1651)

***

Structure and simulated X-ray powder pattern of LiMg14Ti (a cell relaxed with PBE; Cu Ka).
Kinematic intensities with the Lorentz-polarization factor, no thermal factor.

Top 8 peaks for 10 to 80 degrees two-theta, by intensity:
| d_spacing | 2θ (°) | I (rel.) | h k l |
| --- | --- | --- | --- |
| 2.418 | 37.18 | 100 | 2 0 2 |
| 2.514 | 35.71 | 25 | 0 0 4 |
| 2.758 | 32.46 | 24 | 2 0 0 |
| 1.345 | 69.93 | 19 | 2 2 4 |
| 1.432 | 65.13 | 18 | 2 0 6 |
| 1.592 | 57.92 | 17 | 2 2 0 |
| 1.858 | 49.03 | 15 | 2 0 4 |
| 1.330 | 70.86 | 13 | 4 0 2 |

Cell and atoms:
Unit cell a=6.3691 b=6.3691 c=10.0568 alpha=90.00 beta=90.00 gamma=120.00
Space group P-6m2 (No. 187)
One atom of each set of equivalent atoms:
Li (0.0000, 0.0000, 0.0000)
Mg (0.0015, 0.5008, 0.0000)
Mg (0.0035, 0.5018, 0.5000)
Mg (0.1631, 0.3263, 0.2516)
Mg (0.6667, 0.3333, 0.2509)
Ti (0.0000, 0.0000, 0.5000)